Structure and simulated X-ray diffraction stick pattern of Nd3Sm7Y (a crystal structure in Alexandria, relaxed with PBE; Cu Kα, 1.54184 Å).

Peak list (10 most intense, 10° ≤ 2θ ≤ 80°, sorted by position)
24.75°, I = 134; 27.89°, I = 128; 30.00°, I = 370; 31.41°, I = 137; 31.52°, I = 146; 32.11°, I = 1000; 44.03°, I = 224; 54.62°, I = 221; 61.44°, I = 106; 66.00°, I = 85

Lattice parameters (Å, degrees): 8.576 8.576 8.576 139.35 97.10 96.75
Element x y z (fractional)
Nd (0.000, 0.000, 0.000)
Nd (0.211, 0.500, 0.711)
Nd (0.789, 0.500, 0.289)
Sm (0.001, 0.799, 0.202)
Sm (0.207, 0.707, 0.500)
Sm (0.403, 0.201, 0.202)
Sm (0.500, 0.500, 0.000)
Sm (0.597, 0.799, 0.798)
Sm (0.793, 0.293, 0.500)
Sm (0.999, 0.201, 0.798)
Y (0.500, 0.000, 0.500)

=====

Structure and simulated X-ray diffraction stick pattern of NdSm2Y (a crystal structure in Alexandria, relaxed with PBE; Cu Kα, 1.54184 Å).

Peak list (10 most intense, 10° ≤ 2θ ≤ 80°, sorted by position)
25.70°, I = 187; 30.26°, I = 825; 31.05°, I = 1000; 31.70°, I = 486; 32.00°, I = 392; 35.83°, I = 268; 45.67°, I = 291; 56.06°, I = 187; 56.92°, I = 152; 60.83°, I = 291

Lattice parameters (Å, degrees): 5.645 6.933 6.933 29.99 90.00 90.00
Element x y z (fractional)
Nd (0.000, 0.000, 0.000)
Sm (0.000, 0.258, 0.258)
Sm (0.500, 0.383, 0.383)
Y (0.500, 0.645, 0.645)

=====

Structure and simulated X-ray diffraction stick pattern of Nd8Sm2Y3 (a crystal structure in Alexandria, relaxed with PBE; Cu Kα, 1.54184 Å).

Peak list (10 most intense, 10° ≤ 2θ ≤ 80°, sorted by position)
24.55°, I = 257; 28.97°, I = 381; 30.21°, I = 416; 31.08°, I = 459; 32.82°, I = 1000; 40.01°, I = 142; 49.93°, I = 118; 56.41°, I = 212; 63.05°, I = 107; 66.48°, I = 111

Lattice parameters (Å, degrees): 11.050 11.050 5.754 90.01 90.01 41.02
Element x y z (fractional)
Nd (0.100, 0.690, 0.000)
Nd (0.172, 0.172, 0.500)
Nd (0.310, 0.900, 0.000)
Nd (0.368, 0.368, 0.500)
Nd (0.632, 0.632, 0.500)
Nd (0.690, 0.100, 0.000)
Nd (0.828, 0.828, 0.500)
Nd (0.900, 0.310, 0.000)
Sm (0.260, 0.260, 0.001)
Sm (0.740, 0.740, 0.999)
Y (0.216, 0.784, 0.500)
Y (0.500, 0.500, 0.000)
Y (0.784, 0.216, 0.500)

=====

Structure and simulated X-ray diffraction stick pattern of NdSm4Y5 (a crystal structure in Alexandria, relaxed with PBE; Cu Kα, 1.54184 Å).

Peak list (10 most intense, 10° ≤ 2θ ≤ 80°, sorted by position)
27.18°, I = 539; 28.32°, I = 275; 29.46°, I = 1000; 30.88°, I = 478; 34.25°, I = 517; 36.75°, I = 254; 38.52°, I = 304; 39.66°, I = 228; 48.74°, I = 215; 55.83°, I = 164

Lattice parameters (Å, degrees): 7.985 7.985 7.985 98.96 98.96 133.51
Element x y z (fractional)
Nd (0.000, 0.000, 0.000)
Sm (0.119, 0.815, 0.399)
Sm (0.416, 0.720, 0.601)
Sm (0.720, 0.119, 0.303)
Sm (0.815, 0.416, 0.697)
Y (0.039, 0.120, 0.618)
Y (0.120, 0.502, 0.080)
Y (0.421, 0.039, 0.920)
Y (0.502, 0.421, 0.382)
Y (0.542, 0.542, 0.000)

=====

Structure and simulated X-ray diffraction stick pattern of Nd5Sm2Y3 (a crystal structure in Alexandria, relaxed with PBE; Cu Kα, 1.54184 Å).

Peak list (10 most intense, 10° ≤ 2θ ≤ 80°, sorted by position)
20.80°, I = 161; 29.14°, I = 846; 30.89°, I = 1000; 32.83°, I = 431; 33.70°, I = 155; 35.57°, I = 180; 48.65°, I = 193; 57.41°, I = 168; 62.16°, I = 226; 68.92°, I = 156

Lattice parameters (Å, degrees): 9.235 9.235 10.123 108.49 108.49 107.58
Element x y z (fractional)
Nd (0.015, 0.985, 0.750)
Nd (0.131, 0.386, 0.761)
Nd (0.226, 0.774, 0.750)
Nd (0.386, 0.131, 0.261)
Nd (0.476, 0.524, 0.250)
Nd (0.524, 0.476, 0.750)
Nd (0.614, 0.869, 0.739)
Nd (0.774, 0.226, 0.250)
Nd (0.869, 0.614, 0.239)
Nd (0.985, 0.015, 0.250)
Sm (0.026, 0.278, 0.059)
Sm (0.278, 0.026, 0.559)
Sm (0.722, 0.974, 0.441)
Sm (0.974, 0.722, 0.941)
Y (0.221, 0.470, 0.446)
Y (0.269, 0.731, 0.250)
Y (0.470, 0.221, 0.946)
Y (0.530, 0.779, 0.054)
Y (0.731, 0.269, 0.750)
Y (0.779, 0.530, 0.554)

=====

Structure and simulated X-ray diffraction stick pattern of Nd7SmY3 (a crystal structure in Alexandria, relaxed with PBE; Cu Kα, 1.54184 Å).

Peak list (10 most intense, 10° ≤ 2θ ≤ 80°, sorted by position)
21.97°, I = 124; 24.60°, I = 274; 27.78°, I = 192; 30.03°, I = 435; 31.27°, I = 337; 31.96°, I = 1000; 39.19°, I = 162; 43.90°, I = 264; 54.55°, I = 217; 60.97°, I = 181

Lattice parameters (Å, degrees): 8.621 8.621 8.621 139.61 96.90 96.79
Element x y z (fractional)
Nd (0.000, 0.000, 0.000)
Nd (0.096, 0.304, 0.792)
Nd (0.288, 0.788, 0.500)
Nd (0.487, 0.696, 0.792)
Nd (0.513, 0.304, 0.208)
Nd (0.712, 0.212, 0.500)
Nd (0.904, 0.696, 0.208)
Sm (0.000, 0.500, 0.500)
Y (0.298, 0.000, 0.298)
Y (0.500, 0.500, 0.000)
Y (0.702, 0.000, 0.702)

=====

Structure and simulated X-ray diffraction stick pattern of Nd4SmY8 (a crystal structure in Alexandria, relaxed with PBE; Cu Kα, 1.54184 Å).

Peak list (10 most intense, 10° ≤ 2θ ≤ 80°, sorted by position)
15.94°, I = 62; 19.55°, I = 203; 25.32°, I = 68; 32.19°, I = 1000; 37.94°, I = 112; 46.17°, I = 178; 50.59°, I = 50; 57.40°, I = 364; 67.35°, I = 110; 76.62°, I = 148

Lattice parameters (Å, degrees): 7.865 7.865 7.865 90.06 90.06 90.06
Element x y z (fractional)
Nd (0.000, 0.000, 0.000)
Nd (0.000, 0.500, 0.500)
Nd (0.500, 0.000, 0.500)
Nd (0.500, 0.500, 0.000)
Sm (0.500, 0.500, 0.500)
Y (0.240, 0.240, 0.240)
Y (0.240, 0.240, 0.760)
Y (0.240, 0.760, 0.240)
Y (0.240, 0.760, 0.760)
Y (0.760, 0.240, 0.240)
Y (0.760, 0.240, 0.760)
Y (0.760, 0.760, 0.240)
Y (0.760, 0.760, 0.760)

=====

Structure and simulated X-ray diffraction stick pattern of NdSm5Y12 (a crystal structure in Alexandria, relaxed with PBE; Cu Kα, 1.54184 Å).

Peak list (10 most intense, 10° ≤ 2θ ≤ 80°, sorted by position)
11.63°, I = 65; 25.46°, I = 47; 30.47°, I = 1000; 35.33°, I = 502; 50.83°, I = 352; 60.39°, I = 277; 60.49°, I = 138; 63.42°, I = 119; 74.67°, I = 36; 74.85°, I = 18

Lattice parameters (Å, degrees): 10.767 5.084 10.784 90.00 90.12 90.00
Element x y z (fractional)
Nd (0.000, 0.000, 0.000)
Sm (0.167, 0.500, 0.833)
Sm (0.333, 0.000, 0.667)
Sm (0.500, 0.500, 0.500)
Sm (0.667, 0.000, 0.333)
Sm (0.833, 0.500, 0.167)
Y (0.000, 0.000, 0.334)
Y (0.000, 0.000, 0.666)
Y (0.167, 0.500, 0.167)
Y (0.167, 0.500, 0.500)
Y (0.333, 0.000, 0.333)
Y (0.334, 0.000, 0.000)
Y (0.500, 0.500, 0.167)
Y (0.500, 0.500, 0.833)
Y (0.666, 0.000, 0.000)
Y (0.667, 0.000, 0.667)
Y (0.833, 0.500, 0.500)
Y (0.833, 0.500, 0.833)

=====

Structure and simulated X-ray diffraction stick pattern of NdSmY (a crystal structure in Alexandria, relaxed with PBE; Cu Kα, 1.54184 Å).

Peak list (10 most intense, 10° ≤ 2θ ≤ 80°, sorted by position)
28.43°, I = 250; 29.04°, I = 412; 30.45°, I = 519; 31.36°, I = 1000; 32.97°, I = 542; 33.11°, I = 280; 37.09°, I = 205; 49.96°, I = 390; 53.66°, I = 151; 59.57°, I = 304

Lattice parameters (Å, degrees): 3.649 3.649 9.063 101.81 101.81 60.12
Element x y z (fractional)
Nd (0.000, 0.000, 0.000)
Sm (0.443, 0.443, 0.339)
Y (0.220, 0.220, 0.666)

=====

Structure and simulated X-ray diffraction stick pattern of Nd6Sm2Y3 (a crystal structure in Alexandria, relaxed with PBE; Cu Kα, 1.54184 Å).

Peak list (10 most intense, 10° ≤ 2θ ≤ 80°, sorted by position)
30.05°, I = 1000; 34.73°, I = 170; 34.84°, I = 168; 34.94°, I = 167; 50.10°, I = 239; 59.35°, I = 72; 59.46°, I = 143; 59.59°, I = 106; 59.69°, I = 106; 62.41°, I = 61

Lattice parameters (Å, degrees): 6.311 8.120 8.151 107.44 97.26 104.86
Element x y z (fractional)
Nd (0.046, 0.182, 0.409)
Nd (0.136, 0.546, 0.229)
Nd (0.318, 0.272, 0.864)
Nd (0.682, 0.728, 0.136)
Nd (0.864, 0.454, 0.771)
Nd (0.954, 0.818, 0.591)
Sm (0.228, 0.910, 0.046)
Sm (0.772, 0.090, 0.954)
Y (0.409, 0.637, 0.682)
Y (0.500, 0.000, 0.500)
Y (0.591, 0.363, 0.318)

=====

Structure and simulated X-ray diffraction stick pattern of Nd2Sm8Y3 (a crystal structure in Alexandria, relaxed with PBE; Cu Kα, 1.54184 Å).

Peak list (9 most intense, 10° ≤ 2θ ≤ 80°, sorted by position)
15.74°, I = 7; 30.20°, I = 1000; 35.01°, I = 505; 50.35°, I = 359; 59.84°, I = 391; 59.89°, I = 35; 62.80°, I = 123; 73.93°, I = 19; 74.00°, I = 38

Lattice parameters (Å, degrees): 6.277 6.277 11.461 89.99 79.48 80.48
Element x y z (fractional)
Nd (0.116, 0.230, 0.040)
Nd (0.884, 0.770, 0.960)
Sm (0.038, 0.078, 0.348)
Sm (0.193, 0.383, 0.729)
Sm (0.346, 0.692, 0.117)
Sm (0.423, 0.845, 0.805)
Sm (0.577, 0.155, 0.195)
Sm (0.654, 0.308, 0.883)
Sm (0.807, 0.617, 0.271)
Sm (0.962, 0.922, 0.652)
Y (0.269, 0.539, 0.424)
Y (0.500, 0.000, 0.500)
Y (0.731, 0.461, 0.576)

=====

Structure and simulated X-ray diffraction stick pattern of NdSm8Y3 (a crystal structure in Alexandria, relaxed with PBE; Cu Kα, 1.54184 Å).

Peak list (10 most intense, 10° ≤ 2θ ≤ 80°, sorted by position)
25.25°, I = 177; 30.19°, I = 604; 30.45°, I = 1000; 31.00°, I = 843; 32.34°, I = 130; 33.48°, I = 129; 34.47°, I = 505; 40.24°, I = 140; 42.28°, I = 143; 54.52°, I = 112

Lattice parameters (Å, degrees): 8.957 8.957 6.444 110.91 110.91 59.04
Element x y z (fractional)
Nd (0.000, 0.000, 0.000)
Sm (0.074, 0.182, 0.639)
Sm (0.132, 0.525, 0.071)
Sm (0.236, 0.624, 0.676)
Sm (0.306, 0.198, 0.343)
Sm (0.376, 0.764, 0.324)
Sm (0.475, 0.868, 0.929)
Sm (0.802, 0.694, 0.657)
Sm (0.818, 0.926, 0.361)
Y (0.539, 0.208, 0.893)
Y (0.619, 0.381, 0.500)
Y (0.792, 0.461, 0.107)

=====

Structure and simulated X-ray diffraction stick pattern of Nd5Sm3Y4 (a crystal structure in Alexandria, relaxed with PBE; Cu Kα, 1.54184 Å).

Peak list (10 most intense, 10° ≤ 2θ ≤ 80°, sorted by position)
12.19°, I = 9; 15.76°, I = 12; 18.66°, I = 8; 21.19°, I = 13; 30.14°, I = 1000; 34.95°, I = 505; 50.26°, I = 358; 59.73°, I = 424; 62.67°, I = 122; 73.81°, I = 57

Lattice parameters (Å, degrees): 6.291 7.260 8.894 89.94 89.97 89.99
Element x y z (fractional)
Nd (0.000, 0.000, 0.000)
Nd (0.332, 0.501, 0.665)
Nd (0.500, 0.249, 0.001)
Nd (0.500, 0.751, 0.999)
Nd (0.668, 0.499, 0.335)
Sm (0.000, 0.500, 0.000)
Sm (0.167, 0.250, 0.334)
Sm (0.833, 0.750, 0.666)
Y (0.167, 0.752, 0.335)
Y (0.333, 0.000, 0.665)
Y (0.667, 0.000, 0.335)
Y (0.833, 0.248, 0.665)